1.
LiPm2Zn5: calculated powder XRD pattern (Cu Ka), based on DFT lattice parameters and positions (GGA-PBE).
Peak positions follow from Bragg's law for the DFT cell and can differ from measured ones.

Most intense lines, 10° ≤ 2θ ≤ 90°, low angle first:
| Position (°2θ) | I_rel |
| --- | --- |
| 10.75 | 23 |
| 22.56 | 35 |
| 32.63 | 25 |
| 32.85 | 100 |
| 34.01 | 98 |
| 36.73 | 77 |
| 37.14 | 23 |
| 38.45 | 26 |
| 41.06 | 50 |
| 44.81 | 20 |
| 48.46 | 23 |
| 69.62 | 27 |

Structure:
a b c (Å): 8.5207 8.5207 8.9795
angles (deg): 90.00 90.00 150.10
Positions (direct):
1 Li 0.0545 0.9455 0.7500
2 Li 0.9455 0.0545 0.2500
3 Pm 0.2978 0.7022 0.2500
4 Pm 0.5000 0.5000 0.0000
5 Pm 0.5000 0.5000 0.5000
6 Pm 0.7022 0.2978 0.7500
7 Zn 0.0992 0.9008 0.2500
8 Zn 0.1487 0.8513 0.5223
9 Zn 0.1487 0.8513 0.9777
10 Zn 0.3139 0.6861 0.6058
11 Zn 0.3139 0.6861 0.8942
12 Zn 0.6861 0.3139 0.1058
13 Zn 0.6861 0.3139 0.3942
14 Zn 0.8513 0.1487 0.0223
15 Zn 0.8513 0.1487 0.4777
16 Zn 0.9008 0.0992 0.7500

2.
LiPmZr: calculated powder XRD pattern (Cu Ka), based on DFT lattice parameters and positions (GGA-PBE).
Peak positions follow from Bragg's law for the DFT cell and can differ from measured ones.

Most intense lines, 10° ≤ 2θ ≤ 90°, low angle first:
| Position (°2θ) | I_rel |
| --- | --- |
| 10.57 | 38 |
| 18.76 | 70 |
| 20.73 | 30 |
| 26.88 | 62 |
| 28.53 | 43 |
| 32.08 | 46 |
| 33.69 | 52 |
| 34.44 | 90 |
| 34.63 | 36 |
| 36.17 | 100 |
| 44.09 | 28 |
| 56.44 | 24 |

Structure:
a b c (Å): 3.3834 5.3531 8.5891
angles (deg): 96.14 101.30 90.00
Positions (direct):
1 Li 0.0710 0.1956 0.1394
2 Li 0.9290 0.8044 0.8606
3 Pm 0.3966 0.2986 0.7952
4 Pm 0.6034 0.7014 0.2048
5 Zr 0.2710 0.7582 0.5417
6 Zr 0.7290 0.2418 0.4583